Record 1
Na4Al2Si2SO12: simulated XRD peak list (CuKα), based on a cell relaxed with GGA-PBE.
Intensities are scaled so that the largest is 100.

Principal peaks in the range 2θ = 10–90°, by intensity:
2.789 Å, I = 100
3.602 Å, I = 57
2.777 Å, I = 57
2.843 Å, I = 54
3.742 Å, I = 47
2.543 Å, I = 47
3.765 Å, I = 37
4.405 Å, I = 31

Structure:
```
Na4Al2Si2SO12
1.0
7.5621 -4.4167 0.0000
7.5621 4.4167 0.0000
-5.0716 0.0000 7.2040
Na Al Si S O
8 4 4 2 24
Direct
0.0583 0.9417 0.5000
0.1796 0.4198 0.9635
0.3035 0.8270 0.2372
0.4198 0.1796 0.4635
0.5668 0.7085 0.0000
0.7085 0.5668 0.5000
0.8270 0.3035 0.7372
0.9417 0.0583 0.0000
0.1367 0.6824 0.7954
0.4563 0.9571 0.6783
0.6824 0.1367 0.2954
0.9571 0.4563 0.1783
0.0599 0.2736 0.4861
0.2736 0.0599 0.9861
0.7664 0.8501 0.4845
0.8501 0.7664 0.9845
0.3474 0.5620 0.4873
0.5620 0.3474 0.9873
0.0348 0.3010 0.3040
0.0447 0.7391 0.9724
0.0823 0.2390 0.0055
0.0935 0.4574 0.6683
0.1843 0.5307 0.3183
0.2390 0.0823 0.5055
0.2543 0.8708 0.9668
0.3010 0.0348 0.8040
0.3237 0.5893 0.6546
0.3658 0.7274 0.4968
0.4041 0.5205 0.9714
0.4574 0.0935 0.1683
0.5205 0.4041 0.4714
0.5307 0.1843 0.8183
0.5771 0.8786 0.5084
0.5893 0.3237 0.1546
0.6633 0.7990 0.8049
0.7274 0.3658 0.9968
0.7391 0.0447 0.4724
0.7990 0.6633 0.3049
0.8312 0.9507 0.1670
0.8708 0.2543 0.4668
0.8786 0.5771 0.0084
0.9507 0.8312 0.6670
```

---

Record 2
Na8Al6Si6SO28: simulated XRD peak list (CuKα), based on a cell relaxed with GGA-PBE.
Intensities are scaled so that the largest is 100.

Principal peaks in the range 2θ = 10–90°, by intensity:
3.743 Å, I = 100
6.482 Å, I = 55
2.646 Å, I = 46
2.161 Å, I = 24
1.621 Å, I = 16
1.248 Å, I = 14
2.899 Å, I = 14
1.798 Å, I = 13

Structure:
```
Na8Al6Si6SO28
1.0
9.1674 0.0000 0.0000
0.0000 9.1674 0.0000
0.0000 0.0000 9.1674
Na Al Si S O
8 6 6 1 28
Direct
0.1931 0.1931 0.1931
0.1931 0.8069 0.8069
0.2414 0.2414 0.7586
0.2414 0.7586 0.2414
0.7586 0.2414 0.2414
0.7586 0.7586 0.7586
0.8069 0.1931 0.8069
0.8069 0.8069 0.1931
0.0000 0.2505 0.5000
0.0000 0.7495 0.5000
0.2505 0.5000 0.0000
0.5000 0.0000 0.2505
0.5000 0.0000 0.7495
0.7495 0.5000 0.0000
0.0000 0.5000 0.2496
0.0000 0.5000 0.7504
0.2496 0.0000 0.5000
0.5000 0.2496 0.0000
0.5000 0.7504 0.0000
0.7504 0.0000 0.5000
0.0000 0.0000 0.0000
0.0447 0.3576 0.6523
0.0447 0.6424 0.3477
0.0940 0.0940 0.9060
0.0940 0.9060 0.0940
0.1424 0.4536 0.1517
0.1424 0.5464 0.8483
0.1517 0.1424 0.4536
0.1517 0.8576 0.5464
0.3477 0.0447 0.6424
0.3477 0.9553 0.3576
0.3576 0.3477 0.9553
0.3576 0.6523 0.0447
0.4536 0.1517 0.1424
0.4536 0.8483 0.8576
0.5464 0.1517 0.8576
0.5464 0.8483 0.1424
0.6424 0.3477 0.0447
0.6424 0.6523 0.9553
0.6523 0.0447 0.3576
0.6523 0.9553 0.6424
0.8483 0.1424 0.5464
0.8483 0.8576 0.4536
0.8576 0.4536 0.8483
0.8576 0.5464 0.1517
0.9060 0.0940 0.0940
0.9060 0.9060 0.9060
0.9553 0.3576 0.3477
0.9553 0.6424 0.6523
```